1.
The following is a theoretical powder X-ray diffraction pattern of Nd4Ir. It was derived from a cell relaxed with GGA-PBE, using Cu Ka.
Peak positions follow from Bragg's law for the DFT cell and can differ from measured ones.

Largest 10 diffraction maxima, by angle, 2θ from 15° to 90°:
2θ = 15.7°, I 33
2θ = 22.3°, I 29
2θ = 27.4°, I 51
2θ = 31.8°, I 100
2θ = 35.6°, I 18
2θ = 45.5°, I 74
2θ = 54.0°, I 23
2θ = 56.6°, I 26
2θ = 75.4°, I 33
2θ = 84.2°, I 25

Cell and atoms:
```
data_Nd4Ir
_chemical_formula_sum 'Nd4 Ir1'
_symmetry_space_group_name_H-M 'P 1'
_symmetry_Int_Tables_number 1
_symmetry_space_group_name_Hall 'P 1'
_cell_length_a 5.6352
_cell_length_b 5.6352
_cell_length_c 5.6352
_cell_angle_alpha 90.00
_cell_angle_beta 90.00
_cell_angle_gamma 90.00
loop_
_atom_site_label
_atom_site_type_symbol
_atom_site_fract_x
_atom_site_fract_y
_atom_site_fract_z
Nd1 Nd 0.0000 0.0000 0.0000
Nd2 Nd 0.0000 0.5000 0.5000
Nd3 Nd 0.5000 0.0000 0.5000
Nd4 Nd 0.5000 0.5000 0.0000
Ir1 Ir 0.5000 0.5000 0.5000
```

2.
The following is a theoretical powder X-ray diffraction pattern of Nd2NiIr2. It was derived from a cell relaxed with GGA-PBE, using Cu Ka.
Peak positions follow from Bragg's law for the DFT cell and can differ from measured ones.

Largest 10 diffraction maxima, by angle, 2θ from 15° to 90°:
2θ = 31.4°, I 53
2θ = 34.2°, I 46
2θ = 36.1°, I 46
2θ = 37.2°, I 61
2θ = 37.5°, I 42
2θ = 38.0°, I 100
2θ = 38.8°, I 47
2θ = 40.0°, I 41
2θ = 41.0°, I 74
2θ = 48.1°, I 35

Cell and atoms:
```
data_Nd2NiIr2
_chemical_formula_sum 'Nd4 Ni2 Ir4'
_symmetry_space_group_name_H-M 'P 1'
_symmetry_Int_Tables_number 1
_symmetry_space_group_name_Hall 'P 1'
_cell_length_a 5.5399
_cell_length_b 5.5399
_cell_length_c 8.0597
_cell_angle_alpha 102.43
_cell_angle_beta 102.43
_cell_angle_gamma 60.22
loop_
_atom_site_label
_atom_site_type_symbol
_atom_site_fract_x
_atom_site_fract_y
_atom_site_fract_z
Nd1 Nd 0.0191 0.2825 0.1534
Nd2 Nd 0.2825 0.0191 0.6534
Nd3 Nd 0.7175 0.9809 0.3466
Nd4 Nd 0.9809 0.7175 0.8466
Ni1 Ni 0.3636 0.6364 0.2500
Ni2 Ni 0.6364 0.3636 0.7500
Ir1 Ir 0.2447 0.4972 0.4918
Ir2 Ir 0.4972 0.2447 0.9918
Ir3 Ir 0.5028 0.7553 0.0082
Ir4 Ir 0.7553 0.5028 0.5082
```

3.
The following is a theoretical powder X-ray diffraction pattern of NdIrO4. It was derived from a cell relaxed with GGA-PBE, using Cu Ka.
Peak positions follow from Bragg's law for the DFT cell and can differ from measured ones.

Largest 10 diffraction maxima, by angle, 2θ from 15° to 90°:
2θ = 23.4°, I 15
2θ = 28.5°, I 100
2θ = 28.9°, I 55
2θ = 29.6°, I 28
2θ = 32.4°, I 28
2θ = 34.7°, I 18
2θ = 48.3°, I 15
2θ = 49.7°, I 19
2θ = 55.4°, I 27
2θ = 59.3°, I 16

Cell and atoms:
```
data_NdIrO4
_chemical_formula_sum 'Nd4 Ir4 O16'
_symmetry_space_group_name_H-M 'P 1'
_symmetry_Int_Tables_number 1
_symmetry_space_group_name_Hall 'P 1'
_cell_length_a 7.7112
_cell_length_b 5.5220
_cell_length_c 7.5630
_cell_angle_alpha 90.00
_cell_angle_beta 100.09
_cell_angle_gamma 90.00
loop_
_atom_site_label
_atom_site_type_symbol
_atom_site_fract_x
_atom_site_fract_y
_atom_site_fract_z
Nd1 Nd 0.1557 0.2196 0.3987
Nd2 Nd 0.1557 0.2804 0.8987
Nd3 Nd 0.8443 0.7196 0.1013
Nd4 Nd 0.8443 0.7804 0.6013
Ir1 Ir 0.3409 0.7287 0.2033
Ir2 Ir 0.3409 0.7713 0.7033
Ir3 Ir 0.6591 0.2287 0.2967
Ir4 Ir 0.6591 0.2713 0.7967
O1 O 0.1174 0.5255 0.1744
O2 O 0.1174 0.9745 0.6744
O3 O 0.1848 0.0011 0.1267
O4 O 0.1848 0.4989 0.6267
O5 O 0.3366 0.6380 0.9489
O6 O 0.3366 0.8620 0.4489
O7 O 0.4442 0.0853 0.8024
O8 O 0.4442 0.4147 0.3024
O9 O 0.5558 0.5853 0.6976
O10 O 0.5558 0.9147 0.1976
O11 O 0.6634 0.1380 0.5511
O12 O 0.6634 0.3620 0.0511
O13 O 0.8152 0.5011 0.3733
O14 O 0.8152 0.9989 0.8733
O15 O 0.8826 0.0255 0.3256
O16 O 0.8826 0.4745 0.8256
```